For YBi5, DFT lattice parameters and positions (GGA-PBE) gives the simulated powder diffractogram in this record (a wavelength of 1.5418 Å).
Peak positions follow from Bragg's law for the DFT cell and can differ from measured ones.

Principal peaks in the range 2θ from 10° to 90°, sorted by position:
d (Å)  I/Imax  (hkl)
2.872  100.0  1 3 1
2.753  20.4  0 6 0
2.406  16.0  0 0 2
2.355  15.4  2 0 0
1.812  12.2  0 6 2
1.790  11.8  2 6 0
1.683  11.0  2 0 2
1.611  14.4  1 9 1
1.464  13.6  1 3 3
1.441  12.9  3 3 1
1.436  11.6  2 6 2
1.099  5.9  3 3 3

Structural model:
```
YBi5
1.0
4.710 0.000 0.000
0.000 16.520 0.000
0.000 0.000 4.811
Y Bi
2 10
direct
0.000 0.000 0.000
0.500 0.500 0.000
0.000 0.166 0.500
0.000 0.349 0.000
0.000 0.500 0.500
0.000 0.651 0.000
0.000 0.834 0.500
0.500 0.000 0.500
0.500 0.151 0.000
0.500 0.334 0.500
0.500 0.666 0.500
0.500 0.849 0.000
```